Entry 1:
Starting from DFT lattice parameters and positions (GGA-PBE), the powder XRD pattern of CsSrHoF6 was calculated for Cu Kα (weighted mean of Kα1 and Kα2).
No peak broadening, texture or thermal motion is included.

Peak list (8 most intense, 10 to 90 degrees two-theta, most intense first)
d [Å]  two_theta  intensity
3.498  25.5  100
3.328  26.8  59
3.432  26.0  48
2.029  44.7  45
6.650  13.3  29
1.748  52.3  22
2.217  40.7  22
4.058  21.9  22

Structure:
Cell: 8.118 8.118 8.118 Å, 119.23 119.08 91.47°
Element x y z (fractional)
Cs1 0.392 0.142 0.250
Cs2 0.608 0.858 0.750
Sr1 0.000 0.000 0.500
Sr2 0.000 0.500 0.000
Ho1 0.000 0.500 0.500
Ho2 0.500 0.500 0.000
F1 0.106 0.856 0.250
F2 0.149 0.448 0.329
F3 0.149 0.820 0.701
F4 0.188 0.438 0.750
F5 0.382 0.180 0.829
F6 0.382 0.552 0.201
F7 0.618 0.448 0.799
F8 0.618 0.820 0.171
F9 0.812 0.562 0.250
F10 0.851 0.180 0.299
F11 0.851 0.552 0.671
F12 0.894 0.144 0.750

Entry 2:
Starting from DFT lattice parameters and positions (GGA-PBE), the powder XRD pattern of CsIF2 was calculated for Cu Kα (weighted mean of Kα1 and Kα2).
No peak broadening, texture or thermal motion is included.

Peak list (8 most intense, 10 to 90 degrees two-theta, most intense first)
d [Å]  two_theta  intensity
3.585  24.8  100
4.075  21.8  67
2.476  36.3  48
1.973  46.0  30
1.942  46.8  23
3.268  27.3  21
2.037  44.5  21
1.573  58.7  18

Structure:
Cell: 4.952 4.952 13.072 Å, 90.00 90.00 120.00°
Element x y z (fractional)
Cs1 0.000 0.000 0.000
Cs2 0.000 0.000 0.500
I1 0.333 0.667 0.250
I2 0.667 0.333 0.750
F1 0.333 0.667 0.087
F2 0.333 0.667 0.413
F3 0.667 0.333 0.587
F4 0.667 0.333 0.913

Entry 3:
Starting from DFT lattice parameters and positions (GGA-PBE), the powder XRD pattern of Cs3I2F was calculated for Cu Kα (weighted mean of Kα1 and Kα2).
No peak broadening, texture or thermal motion is included.

Peak list (8 most intense, 10 to 90 degrees two-theta, most intense first)
d [Å]  two_theta  intensity
3.793  23.5  100
3.675  24.2  72
3.303  27.0  53
3.195  27.9  50
2.961  30.2  39
3.691  24.1  34
2.304  39.1  31
2.756  32.5  28

Structure:
Cell: 8.714 8.714 8.205 Å, 90.00 90.00 71.56°
Element x y z (fractional)
Cs1 0.136 0.864 0.750
Cs2 0.356 0.356 0.000
Cs3 0.356 0.356 0.500
Cs4 0.644 0.644 0.000
Cs5 0.644 0.644 0.500
Cs6 0.864 0.136 0.250
I1 0.014 0.668 0.250
I2 0.332 0.986 0.250
I3 0.668 0.014 0.750
I4 0.986 0.332 0.750
F1 0.416 0.584 0.750
F2 0.584 0.416 0.250

Entry 4:
Starting from DFT lattice parameters and positions (GGA-PBE), the powder XRD pattern of Cs4I3F12 was calculated for Cu Kα (weighted mean of Kα1 and Kα2).
No peak broadening, texture or thermal motion is included.

Peak list (8 most intense, 10 to 90 degrees two-theta, most intense first)
d [Å]  two_theta  intensity
3.684  24.2  100
2.127  42.5  51
1.393  67.2  23
1.648  55.8  22
2.605  34.4  19
7.369  12.0  15
1.842  49.5  13
1.228  77.8  13

Structure:
Cell: 9.025 9.025 9.025 Å, 109.47 109.47 109.47°
Element x y z (fractional)
Cs1 0.000 0.000 0.500
Cs2 0.000 0.500 0.000
Cs3 0.500 0.000 0.000
Cs4 0.500 0.500 0.500
I1 0.000 0.500 0.500
I2 0.500 0.000 0.500
I3 0.500 0.500 0.000
F1 0.134 0.347 0.481
F2 0.134 0.653 0.787
F3 0.213 0.866 0.347
F4 0.347 0.213 0.866
F5 0.347 0.481 0.134
F6 0.481 0.134 0.347
F7 0.519 0.866 0.653
F8 0.653 0.519 0.866
F9 0.653 0.787 0.134
F10 0.787 0.134 0.653
F11 0.866 0.347 0.213
F12 0.866 0.653 0.519

Entry 5:
Starting from DFT lattice parameters and positions (GGA-PBE), the powder XRD pattern of CsIF5 was calculated for Cu Kα (weighted mean of Kα1 and Kα2).
No peak broadening, texture or thermal motion is included.

Peak list (8 most intense, 10 to 90 degrees two-theta, most intense first)
d [Å]  two_theta  intensity
3.960  22.5  100
4.691  18.9  76
3.189  28.0  48
2.885  31.0  28
3.356  26.6  27
2.453  36.6  27
2.531  35.5  24
1.982  45.8  22

Structure:
Cell: 5.892 5.892 6.812 Å, 116.06 116.06 49.19°
Element x y z (fractional)
Cs1 0.000 0.000 0.000
I1 0.500 0.500 0.500
F1 0.000 0.000 0.500
F2 0.326 0.326 0.193
F3 0.382 0.382 0.660
F4 0.618 0.618 0.340
F5 0.674 0.674 0.807

Entry 6:
Starting from DFT lattice parameters and positions (GGA-PBE), the powder XRD pattern of CsNaIF6 was calculated for Cu Kα (weighted mean of Kα1 and Kα2).
No peak broadening, texture or thermal motion is included.

Peak list (8 most intense, 10 to 90 degrees two-theta, most intense first)
d [Å]  two_theta  intensity
4.182  21.2  100
3.802  23.4  100
3.761  23.7  99
4.101  21.7  96
4.931  18.0  73
3.847  23.1  69
3.826  23.3  64
2.733  32.8  52

Structure:
Cell: 5.465 5.997 6.333 Å, 88.59 64.76 89.07°
Element x y z (fractional)
Cs1 0.000 0.000 0.000
Na1 0.348 0.509 0.290
I1 0.661 0.507 0.663
F1 0.412 0.298 0.581
F2 0.506 0.285 0.966
F3 0.534 0.724 0.955
F4 0.608 0.725 0.413
F5 0.928 0.380 0.335
F6 0.985 0.719 0.573

Entry 7:
Starting from DFT lattice parameters and positions (GGA-PBE), the powder XRD pattern of Cs2IO4F2 was calculated for Cu Kα (weighted mean of Kα1 and Kα2).
No peak broadening, texture or thermal motion is included.

Peak list (8 most intense, 10 to 90 degrees two-theta, most intense first)
d [Å]  two_theta  intensity
3.875  22.9  100
3.218  27.7  57
3.767  23.6  50
2.430  37.0  44
3.179  28.1  30
2.373  37.9  24
2.525  35.6  23
1.465  63.5  14

Structure:
Cell: 6.442 6.442 5.319 Å, 92.31 92.31 59.14°
Element x y z (fractional)
Cs1 0.162 0.162 0.194
Cs2 0.838 0.838 0.806
I1 0.500 0.500 0.500
O1 0.222 0.635 0.303
O2 0.365 0.778 0.697
O3 0.635 0.222 0.303
O4 0.778 0.365 0.697
F1 0.357 0.357 0.710
F2 0.643 0.643 0.290

Entry 8:
Starting from DFT lattice parameters and positions (GGA-PBE), the powder XRD pattern of CsIOF4 was calculated for Cu Kα (weighted mean of Kα1 and Kα2).
No peak broadening, texture or thermal motion is included.

Peak list (8 most intense, 10 to 90 degrees two-theta, most intense first)
d [Å]  two_theta  intensity
4.264  20.8  100
3.380  26.4  57
3.922  22.7  25
3.180  28.1  19
2.267  39.8  19
2.426  37.1  19
3.338  26.7  17
2.215  40.7  16

Structure:
Cell: 6.361 6.175 15.687 Å, 90.00 90.00 90.00°
Element x y z (fractional)
Cs1 0.231 0.250 0.105
Cs2 0.269 0.750 0.605
Cs3 0.731 0.250 0.395
Cs4 0.769 0.750 0.895
I1 0.221 0.250 0.840
I2 0.279 0.750 0.340
I3 0.721 0.250 0.660
I4 0.779 0.750 0.160
O1 0.007 0.750 0.094
O2 0.493 0.250 0.594
O3 0.507 0.750 0.406
O4 0.993 0.250 0.906
F1 0.087 0.020 0.765
F2 0.087 0.480 0.765
F3 0.150 0.523 0.415
F4 0.150 0.977 0.415
F5 0.350 0.023 0.915
F6 0.350 0.477 0.915
F7 0.413 0.520 0.265
F8 0.413 0.980 0.265
F9 0.587 0.020 0.735
F10 0.587 0.480 0.735
F11 0.650 0.523 0.085
F12 0.650 0.977 0.085
F13 0.850 0.023 0.585
F14 0.850 0.477 0.585
F15 0.913 0.520 0.235
F16 0.913 0.980 0.235

Entry 9:
Starting from DFT lattice parameters and positions (GGA-PBE), the powder XRD pattern of Cs4IOF was calculated for Cu Kα (weighted mean of Kα1 and Kα2).
No peak broadening, texture or thermal motion is included.

Peak list (8 most intense, 10 to 90 degrees two-theta, most intense first)
d [Å]  two_theta  intensity
3.542  25.1  100
3.134  28.5  83
3.865  23.0  71
3.388  26.3  70
3.775  23.6  67
3.416  26.1  52
3.470  25.7  50
2.342  38.4  43

Structure:
Cell: 7.798 8.021 10.368 Å, 90.00 104.33 90.00°
Element x y z (fractional)
Cs1 0.002 0.016 0.311
Cs2 0.002 0.484 0.311
Cs3 0.327 0.250 0.100
Cs4 0.477 0.750 0.441
Cs5 0.523 0.250 0.559
Cs6 0.673 0.750 0.900
Cs7 0.998 0.516 0.689
Cs8 0.998 0.984 0.689
I1 0.226 0.750 0.039
I2 0.774 0.250 0.961
O1 0.263 0.250 0.338
O2 0.737 0.750 0.662
F1 0.144 0.750 0.514
F2 0.856 0.250 0.486

Entry 10:
Starting from DFT lattice parameters and positions (GGA-PBE), the powder XRD pattern of Cs5I2OF was calculated for Cu Kα (weighted mean of Kα1 and Kα2).
No peak broadening, texture or thermal motion is included.

Peak list (8 most intense, 10 to 90 degrees two-theta, most intense first)
d [Å]  two_theta  intensity
3.500  25.4  100
3.284  27.2  85
3.601  24.7  51
3.810  23.3  32
2.419  37.2  32
3.008  29.7  25
3.030  29.5  22
4.045  22.0  19

Structure:
Cell: 4.838 15.616 11.440 Å, 90.00 102.20 90.00°
Element x y z (fractional)
Cs1 0.006 0.000 0.012
Cs2 0.165 0.302 0.328
Cs3 0.193 0.911 0.390
Cs4 0.220 0.664 0.438
Cs5 0.411 0.259 0.823
Cs6 0.589 0.759 0.177
Cs7 0.780 0.164 0.562
Cs8 0.807 0.411 0.610
Cs9 0.835 0.802 0.672
Cs10 0.994 0.500 0.988
I1 0.370 0.000 0.741
I2 0.388 0.614 0.776
I3 0.612 0.114 0.224
I4 0.630 0.500 0.259
O1 0.282 0.284 0.570
O2 0.718 0.784 0.430
F1 0.073 0.852 0.144
F2 0.927 0.352 0.856

Entry 11:
Starting from DFT lattice parameters and positions (GGA-PBE), the powder XRD pattern of Cs9I3O2F was calculated for Cu Kα (weighted mean of Kα1 and Kα2).
No peak broadening, texture or thermal motion is included.

Peak list (8 most intense, 10 to 90 degrees two-theta, most intense first)
d [Å]  two_theta  intensity
3.498  25.5  100
3.030  29.5  59
1.827  49.9  46
2.142  42.2  43
1.355  69.4  19
1.749  52.3  15
1.166  82.8  11
1.236  77.1  11

Structure:
Cell: 8.564 8.564 10.509 Å, 90.00 90.00 120.00°
Element x y z (fractional)
Cs1 0.000 0.500 0.000
Cs2 0.172 0.345 0.325
Cs3 0.172 0.828 0.325
Cs4 0.345 0.172 0.675
Cs5 0.500 0.000 0.000
Cs6 0.500 0.500 0.000
Cs7 0.655 0.828 0.325
Cs8 0.828 0.172 0.675
Cs9 0.828 0.655 0.675
I1 0.000 0.000 0.000
I2 0.333 0.667 0.665
I3 0.667 0.333 0.335
O1 0.333 0.667 0.179
O2 0.667 0.333 0.821
F1 0.000 0.000 0.500

Entry 12:
Starting from DFT lattice parameters and positions (GGA-PBE), the powder XRD pattern of CsPPbI2F6 was calculated for Cu Kα (weighted mean of Kα1 and Kα2).
No peak broadening, texture or thermal motion is included.

Peak list (8 most intense, 10 to 90 degrees two-theta, most intense first)
d [Å]  two_theta  intensity
4.291  20.7  100
3.136  28.5  88
2.532  35.5  78
5.064  17.5  77
2.666  33.6  58
6.272  14.1  37
3.940  22.6  36
8.581  10.3  36

Structure:
Cell: 6.272 6.272 8.581 Å, 90.00 90.00 90.00°
Element x y z (fractional)
Cs1 0.000 0.000 0.000
P1 0.500 0.500 0.000
Pb1 0.500 0.500 0.500
I1 0.000 0.500 0.500
I2 0.500 0.000 0.500
F1 0.239 0.500 0.000
F2 0.500 0.239 0.000
F3 0.500 0.500 0.192
F4 0.500 0.500 0.808
F5 0.500 0.761 0.000
F6 0.761 0.500 0.000